# 1
For Tl3Cr2Br9, the GGA-PBE geometry in Alexandria gives the simulated powder X-ray diffraction pattern in this record (Cu Kα).

The 10 most intense peaks (15 to 90 degrees two-theta), by angle:
Position (°2θ), I/Imax
17.00, 18
24.02, 25
24.25, 23
29.40, 32
29.76, 100
34.40, 92
49.20, 30
49.67, 33
58.78, 27
61.82, 16

Structure:
```
Tl3Cr2Br9
1.0
7.3414 0.0000 0.0000
-3.6707 6.3578 0.0000
0.0000 0.0000 9.1150
Tl Cr Br
3 2 9
Direct
0.0000 0.0000 0.0000
0.3333 0.6667 0.3561
0.6667 0.3333 0.6439
0.3333 0.6667 0.8261
0.6667 0.3333 0.1739
0.0000 0.5000 0.0000
0.1736 0.3472 0.6781
0.1736 0.8264 0.6781
0.3472 0.1736 0.3219
0.5000 0.0000 0.0000
0.5000 0.5000 0.0000
0.6528 0.8264 0.6781
0.8264 0.1736 0.3219
0.8264 0.6528 0.3219
```

=====

# 2
For NaTbGe2Cl8, the GGA-PBE geometry in Alexandria gives the simulated powder X-ray diffraction pattern in this record (Cu Kα).

The 10 most intense peaks (15 to 90 degrees two-theta), by angle:
Position (°2θ), I/Imax
16.88, 47
17.60, 46
18.99, 98
19.81, 100
25.60, 54
29.18, 45
37.54, 44
38.26, 47
38.80, 61
45.90, 40

Structure:
```
NaTbGe2Cl8
1.0
6.2995 0.0000 0.0000
0.2804 6.6603 0.0000
0.0939 0.1972 8.2935
Na Tb Ge Cl
1 1 2 8
Direct
0.0000 0.0000 0.0000
0.0000 0.0000 0.5000
0.4703 0.4674 0.2431
0.5297 0.5326 0.7569
0.2085 0.8122 0.2638
0.2499 0.8541 0.7373
0.2515 0.3165 0.4675
0.2812 0.3394 0.0305
0.7188 0.6606 0.9695
0.7485 0.6835 0.5325
0.7501 0.1459 0.2627
0.7915 0.1878 0.7362
```

=====

# 3
For PaIr, the GGA-PBE geometry in Alexandria gives the simulated powder X-ray diffraction pattern in this record (Cu Kα).

The 8 most intense peaks (15 to 90 degrees two-theta), by angle:
Position (°2θ), I/Imax
27.29, 1
31.61, 100
45.32, 76
53.71, 1
56.31, 27
66.02, 13
75.05, 35
83.71, 27

Structure:
```
PaIr
1.0
5.6601 0.0000 0.0000
0.0000 5.6601 0.0000
0.0000 0.0000 5.6601
Pa Ir
4 4
Direct
0.0000 0.0000 0.0000
0.0000 0.5000 0.5000
0.5000 0.0000 0.5000
0.5000 0.5000 0.0000
0.0000 0.0000 0.5000
0.0000 0.5000 0.0000
0.5000 0.0000 0.0000
0.5000 0.5000 0.5000
```

=====

# 4
For Ba2Bi6O11, the GGA-PBE geometry in Alexandria gives the simulated powder X-ray diffraction pattern in this record (Cu Kα).

The 10 most intense peaks (15 to 90 degrees two-theta), by angle:
Position (°2θ), I/Imax
26.46, 57
28.20, 91
28.51, 100
30.16, 46
40.52, 28
40.99, 23
48.19, 23
49.03, 32
51.34, 21
52.74, 20

Structure:
```
Ba2Bi6O11
1.0
3.3695 -2.2262 0.0000
3.3695 2.2262 0.0000
-0.5081 0.0000 23.7075
Ba Bi O
2 6 11
Direct
0.1793 0.1793 0.0727
0.8207 0.8207 0.9273
0.2225 0.2225 0.3208
0.2570 0.2570 0.8070
0.2664 0.2664 0.5632
0.7336 0.7336 0.4368
0.7430 0.7430 0.1930
0.7775 0.7775 0.6792
0.0376 0.0376 0.7389
0.1426 0.1426 0.4114
0.1812 0.1812 0.9085
0.3330 0.3330 0.1730
0.3738 0.3738 0.6528
0.5000 0.5000 0.5000
0.6262 0.6262 0.3472
0.6670 0.6670 0.8270
0.8188 0.8188 0.0915
0.8574 0.8574 0.5886
0.9624 0.9624 0.2611
```

=====

# 5
For LaYCl, the GGA-PBE geometry in Alexandria gives the simulated powder X-ray diffraction pattern in this record (Cu Kα).

The 10 most intense peaks (15 to 90 degrees two-theta), by angle:
Position (°2θ), I/Imax
24.01, 15
27.64, 11
30.20, 100
36.36, 13
36.93, 45
48.88, 22
57.33, 16
58.54, 15
62.42, 16
79.66, 12

Structure:
```
LaYCl
1.0
3.7266 0.0000 0.0000
-1.8633 3.2273 0.0000
0.0000 0.0000 7.4136
La Y Cl
1 1 1
Direct
0.0000 0.0000 0.0000
0.6667 0.3333 0.3855
0.3333 0.6667 0.6603
```

=====

# 6
For PrZrZn, the GGA-PBE geometry in Alexandria gives the simulated powder X-ray diffraction pattern in this record (Cu Kα).

The 10 most intense peaks (15 to 90 degrees two-theta), by angle:
Position (°2θ), I/Imax
26.75, 15
29.17, 9
33.95, 100
36.70, 44
47.55, 10
52.87, 15
58.91, 15
59.18, 10
64.33, 30
89.49, 12

Structure:
```
PrZrZn
1.0
3.4632 0.0000 0.0000
0.0000 3.4632 0.0000
0.0000 0.0000 12.2444
Pr Zr Zn
2 2 2
Direct
0.0000 0.0000 0.0000
0.5000 0.5000 0.5000
0.0000 0.0000 0.3057
0.5000 0.5000 0.8057
0.0000 0.0000 0.6803
0.5000 0.5000 0.1803
```

=====

# 7
For LaRuRh4S8, the GGA-PBE geometry in Alexandria gives the simulated powder X-ray diffraction pattern in this record (Cu Kα).

The 10 most intense peaks (15 to 90 degrees two-theta), by angle:
Position (°2θ), I/Imax
17.34, 27
25.02, 33
29.39, 57
30.60, 26
35.09, 100
38.84, 19
45.44, 22
49.56, 49
51.35, 52
60.21, 23

Structure:
```
LaRuRh4S8
1.0
3.5587 2.0546 6.1120
-3.5587 2.0546 6.1120
0.0000 -4.1092 6.1120
La Ru Rh S
1 1 4 8
Direct
0.0000 0.0000 0.0000
0.4842 0.4842 0.4842
0.4759 0.4759 0.9902
0.4759 0.9902 0.4759
0.8426 0.8426 0.8426
0.9902 0.4759 0.4759
0.2476 0.2476 0.2476
0.2600 0.2600 0.6746
0.2600 0.6746 0.2600
0.2625 0.7175 0.7175
0.6746 0.2600 0.2600
0.7164 0.7164 0.7164
0.7175 0.2625 0.7175
0.7175 0.7175 0.2625
```